[1]
For Li2ScSe, a cell relaxed with GGA-PBE gives the simulated X-ray powder pattern in this record (Cu Kα X-rays).
Neutral-atom scattering factors, no anomalous dispersion.

Principal peaks in the range 10 to 90 degrees two-theta, sorted by position:
2θ (°)	d (Å)	I/Imax
14.67	6.040	55
23.35	3.809	100
27.03	3.299	24
29.58	3.020	15
34.35	2.611	56
37.57	2.394	72
43.73	2.070	21
45.98	1.974	36
53.44	1.715	15
57.95	1.591	24
59.08	1.564	14
72.34	1.306	16

Atomic structure:
Cell lengths 6.5913, 6.5913, 6.5913 Å; angles 149.84, 144.54, 47.22 degrees
Element x y z (fractional)
Li1 0.0000 0.0000 0.0000
Li2 0.6445 0.1445 0.5000
Sc1 0.2984 0.7984 0.5000
Se1 0.4722 0.4722 0.0000

---

[2]
For Tl8CdIn3, a cell relaxed with GGA-PBE gives the simulated X-ray powder pattern in this record (Cu Kα X-rays).
Neutral-atom scattering factors, no anomalous dispersion.

Principal peaks in the range 10 to 90 degrees two-theta, sorted by position:
2θ (°)	d (Å)	I/Imax
25.32	3.518	100
35.29	2.544	83
36.92	2.435	72
45.29	2.002	21
47.92	1.898	16
51.99	1.759	27
59.80	1.546	19
65.46	1.426	27
66.51	1.406	13
70.61	1.334	20
74.38	1.275	9
89.18	1.098	12

Atomic structure:
Cell lengths 8.4347, 8.4347, 6.3776 Å; angles 90.00, 90.00, 120.00 degrees
Element x y z (fractional)
Tl1 0.0000 0.3250 0.2349
Tl2 0.0000 0.6750 0.7651
Tl3 0.3250 0.0000 0.2349
Tl4 0.3250 0.3250 0.7651
Tl5 0.3333 0.6667 0.5000
Tl6 0.6667 0.3333 0.5000
Tl7 0.6750 0.0000 0.7651
Tl8 0.6750 0.6750 0.2349
Cd1 0.0000 0.0000 0.5000
In1 0.0000 0.0000 0.0000
In2 0.3333 0.6667 0.0000
In3 0.6667 0.3333 0.0000

---

[3]
For DyTm2Tl2Cd2, a cell relaxed with GGA-PBE gives the simulated X-ray powder pattern in this record (Cu Kα X-rays).
Neutral-atom scattering factors, no anomalous dispersion.

Principal peaks in the range 10 to 90 degrees two-theta, sorted by position:
2θ (°)	d (Å)	I/Imax
20.76	4.278	9
31.95	2.801	100
34.77	2.580	16
35.85	2.505	92
48.78	1.867	31
50.80	1.797	10
54.31	1.689	10
62.00	1.497	30
64.43	1.446	17
66.13	1.413	11
75.99	1.252	10
84.80	1.143	13

Atomic structure:
Cell lengths 9.0327, 9.0327, 9.0327 Å; angles 32.20, 32.20, 32.20 degrees
Element x y z (fractional)
Dy1 0.0000 0.0000 0.0000
Tm1 0.1341 0.1341 0.1341
Tm2 0.8659 0.8659 0.8659
Tl1 0.2699 0.2699 0.2699
Tl2 0.7301 0.7301 0.7301
Cd1 0.4325 0.4325 0.4325
Cd2 0.5675 0.5675 0.5675

---

[4]
For Y4ScCd, a cell relaxed with GGA-PBE gives the simulated X-ray powder pattern in this record (Cu Kα X-rays).
Neutral-atom scattering factors, no anomalous dispersion.

Principal peaks in the range 10 to 90 degrees two-theta, sorted by position:
2θ (°)	d (Å)	I/Imax
31.78	2.816	100
35.62	2.520	38
36.26	2.478	6
39.23	2.297	12
51.27	1.782	13
54.02	1.698	19
61.59	1.506	28
66.43	1.407	18
75.44	1.260	4
84.17	1.150	6
86.32	1.127	6
88.54	1.104	12

Atomic structure:
Cell lengths 3.5641, 3.5641, 13.7804 Å; angles 90.00, 90.00, 90.00 degrees
Element x y z (fractional)
Y1 0.0000 0.0000 0.1501
Y2 0.0000 0.0000 0.8499
Y3 0.5000 0.5000 0.3349
Y4 0.5000 0.5000 0.6651
Sc1 0.0000 0.0000 0.5000
Cd1 0.5000 0.5000 0.0000

---

[5]
For TmScIn3, a cell relaxed with GGA-PBE gives the simulated X-ray powder pattern in this record (Cu Kα X-rays).
Neutral-atom scattering factors, no anomalous dispersion.

Principal peaks in the range 10 to 90 degrees two-theta, sorted by position:
2θ (°)	d (Å)	I/Imax
16.10	5.505	100
31.44	2.846	30
32.53	2.752	36
32.95	2.718	59
33.09	2.707	17
35.64	2.519	22
37.46	2.401	53
40.36	2.235	15
41.13	2.195	23
48.25	1.886	36
59.34	1.557	16
75.43	1.260	16

Atomic structure:
Cell lengths 11.5530, 11.5530, 11.5530 Å; angles 151.48, 151.48, 40.77 degrees
Element x y z (fractional)
Tm1 0.0000 0.0000 0.0000
Tm2 0.7500 0.2500 0.5000
Sc1 0.4236 0.4236 0.0000
Sc2 0.5764 0.5764 0.0000
In1 0.0300 0.5300 0.5000
In2 0.3767 0.1265 0.2502
In3 0.4700 0.9700 0.5000
In4 0.8735 0.1237 0.2502
In5 0.8735 0.6233 0.7498
In6 0.8763 0.1265 0.7498

---

[6]
For BePH6CCl3, a cell relaxed with GGA-PBE gives the simulated X-ray powder pattern in this record (Cu Kα X-rays).
Neutral-atom scattering factors, no anomalous dispersion.

Principal peaks in the range 10 to 90 degrees two-theta, sorted by position:
2θ (°)	d (Å)	I/Imax
19.75	4.495	25
21.22	4.188	55
28.63	3.117	100
31.19	2.868	41
31.31	2.856	21
31.70	2.823	13
38.46	2.341	13
40.08	2.250	9
47.20	1.925	6
48.98	1.860	12
49.13	1.854	6
53.92	1.701	8

Atomic structure:
Cell lengths 5.9793, 6.0022, 6.0053 Å; angles 76.59, 76.72, 76.50 degrees
Element x y z (fractional)
Be1 0.0000 0.0000 0.0000
P1 0.5863 0.5787 0.5789
H1 0.4048 0.7325 0.4769
H2 0.4874 0.3973 0.7340
H3 0.5893 0.8033 0.8544
H4 0.7457 0.4798 0.3997
H5 0.8035 0.8577 0.5920
H6 0.8576 0.5936 0.8048
C1 0.7238 0.7238 0.7228
Cl1 0.1356 0.1545 0.6978
Cl2 0.1557 0.6970 0.1354
Cl3 0.6970 0.1363 0.1550

---

[7]
For DyMg2W3S8, a cell relaxed with GGA-PBE gives the simulated X-ray powder pattern in this record (Cu Kα X-rays).
Neutral-atom scattering factors, no anomalous dispersion.

Principal peaks in the range 10 to 90 degrees two-theta, sorted by position:
2θ (°)	d (Å)	I/Imax
13.85	6.396	99
15.09	5.871	43
15.41	5.750	100
17.29	5.130	22
27.40	3.255	26
27.90	3.198	26
29.20	3.058	26
34.92	2.570	85
35.09	2.557	45
46.27	1.962	21
48.71	1.869	31
51.94	1.761	22

Atomic structure:
Cell lengths 7.0440, 7.0440, 7.6616 Å; angles 118.61, 118.61, 59.14 degrees
Element x y z (fractional)
Dy1 0.0000 0.0000 0.0000
Mg1 0.3492 0.3492 0.0489
Mg2 0.5103 0.5103 0.5266
W1 0.5808 0.9656 0.4977
W2 0.9656 0.5808 0.4977
W3 0.9756 0.9756 0.4863
S1 0.2325 0.2325 0.6683
S2 0.2477 0.7647 0.7398
S3 0.2676 0.2676 0.2873
S4 0.2760 0.7647 0.2877
S5 0.7473 0.7473 0.2206
S6 0.7468 0.7468 0.7403
S7 0.7647 0.2477 0.7398
S8 0.7647 0.2760 0.2877

---

[8]
For RbGeAs2O8, a cell relaxed with GGA-PBE gives the simulated X-ray powder pattern in this record (Cu Kα X-rays).
Neutral-atom scattering factors, no anomalous dispersion.

Principal peaks in the range 10 to 90 degrees two-theta, sorted by position:
2θ (°)	d (Å)	I/Imax
24.16	3.684	100
29.00	3.079	8
33.06	2.710	19
35.75	2.512	31
43.61	2.075	14
49.48	1.842	9
53.93	1.700	8
57.62	1.600	16
62.53	1.485	7
64.23	1.450	9
71.95	1.312	7
80.86	1.189	7

Atomic structure:
Cell lengths 9.6820, 9.6820, 9.6820 Å; angles 30.07, 30.07, 30.07 degrees
Element x y z (fractional)
Rb1 0.0000 0.0000 0.0000
Ge1 0.5000 0.5000 0.5000
As1 0.2314 0.2314 0.2314
As2 0.7686 0.7686 0.7686
O1 0.1415 0.4977 0.7285
O2 0.2715 0.5023 0.8585
O3 0.2919 0.2919 0.2919
O4 0.4977 0.7285 0.1415
O5 0.5023 0.8585 0.2715
O6 0.7081 0.7081 0.7081
O7 0.7285 0.1415 0.4977
O8 0.8585 0.2715 0.5023

---

[9]
For NdZn2Pd10, a cell relaxed with GGA-PBE gives the simulated X-ray powder pattern in this record (Cu Kα X-rays).
Neutral-atom scattering factors, no anomalous dispersion.

Principal peaks in the range 10 to 90 degrees two-theta, sorted by position:
2θ (°)	d (Å)	I/Imax
34.19	2.622	37
34.30	2.614	76
39.55	2.278	87
39.73	2.269	100
39.86	2.262	98
40.09	2.249	75
44.51	2.036	64
44.87	2.020	68
64.83	1.438	23
72.28	1.307	39
72.89	1.298	23
85.62	1.134	23

Atomic structure:
Cell lengths 9.0485, 6.9659, 6.8634 Å; angles 81.73, 49.63, 48.64 degrees
Element x y z (fractional)
Nd1 0.0000 0.0000 0.0000
Zn1 0.0000 0.5000 0.0000
Zn2 0.5000 0.0000 0.5000
Pd1 0.0000 0.0000 0.5000
Pd2 0.0072 0.3467 0.6533
Pd3 0.2799 0.4938 0.5062
Pd4 0.3467 0.0072 0.9928
Pd5 0.4938 0.2799 0.7201
Pd6 0.5000 0.5000 0.0000
Pd7 0.5062 0.7201 0.2799
Pd8 0.6533 0.9928 0.0072
Pd9 0.7201 0.5062 0.4938
Pd10 0.9928 0.6533 0.3467

---

[10]
For TlAs2Pb2O6, a cell relaxed with GGA-PBE gives the simulated X-ray powder pattern in this record (Cu Kα X-rays).
Neutral-atom scattering factors, no anomalous dispersion.

Principal peaks in the range 10 to 90 degrees two-theta, sorted by position:
2θ (°)	d (Å)	I/Imax
16.26	5.452	64
23.80	3.738	46
24.20	3.677	78
25.44	3.501	88
27.80	3.209	100
28.25	3.159	49
29.31	3.048	84
31.84	2.811	83
35.00	2.563	42
39.29	2.293	44
40.98	2.202	35
52.54	1.742	39

Atomic structure:
Cell lengths 5.6342, 6.5701, 7.1697 Å; angles 110.22, 92.04, 111.56 degrees
Element x y z (fractional)
Tl1 0.0000 0.0000 0.0000
As1 0.3328 0.7615 0.3043
As2 0.6672 0.2385 0.6957
Pb1 0.3202 0.6278 0.7520
Pb2 0.6798 0.3722 0.2480
O1 0.0038 0.7133 0.2536
O2 0.3294 0.4775 0.2730
O3 0.4579 0.8318 0.1021
O4 0.5421 0.1682 0.8979
O5 0.6706 0.5225 0.7270
O6 0.9962 0.2867 0.7464

---

[11]
For Nd5Ho6Tm2, a cell relaxed with GGA-PBE gives the simulated X-ray powder pattern in this record (Cu Kα X-rays).
Neutral-atom scattering factors, no anomalous dispersion.

Principal peaks in the range 10 to 90 degrees two-theta, sorted by position:
2θ (°)	d (Å)	I/Imax
31.09	2.876	62
31.36	2.853	54
31.46	2.844	60
31.76	2.818	17
32.08	2.790	100
34.17	2.624	44
34.99	2.565	18
36.56	2.458	34
50.84	1.796	22
56.90	1.618	23
60.81	1.523	22
61.02	1.518	19

Atomic structure:
Cell lengths 11.6199, 20.5309, 3.5918 Å; angles 90.00, 90.00, 90.00 degrees
Element x y z (fractional)
Nd1 0.0000 0.0000 0.0000
Nd2 0.0836 0.2723 0.0000
Nd3 0.1981 0.5511 0.0000
Nd4 0.3019 0.0511 0.0000
Nd5 0.4164 0.7723 0.0000
Nd6 0.5000 0.5000 0.0000
Nd7 0.5836 0.2277 0.0000
Nd8 0.6981 0.9489 0.0000
Nd9 0.8019 0.4489 0.0000
Nd10 0.9164 0.7277 0.0000
Ho1 0.0620 0.4184 0.5000
Ho2 0.0812 0.1315 0.5000
Ho3 0.1742 0.8605 0.0000
Ho4 0.3258 0.3605 0.0000
Ho5 0.4188 0.6315 0.5000
Ho6 0.4380 0.9184 0.5000
Ho7 0.5620 0.0816 0.5000
Ho8 0.5812 0.3685 0.5000
Ho9 0.6742 0.6395 0.0000
Ho10 0.8258 0.1395 0.0000
Ho11 0.9188 0.8685 0.5000
Ho12 0.9380 0.5816 0.5000
Tm1 0.1710 0.7102 0.5000
Tm2 0.3290 0.2102 0.5000
Tm3 0.6710 0.7898 0.5000
Tm4 0.8290 0.2898 0.5000

---

[12]
For Tb2Zn16Pt, a cell relaxed with GGA-PBE gives the simulated X-ray powder pattern in this record (Cu Kα X-rays).
Neutral-atom scattering factors, no anomalous dispersion.

Principal peaks in the range 10 to 90 degrees two-theta, sorted by position:
2θ (°)	d (Å)	I/Imax
28.45	3.138	26
34.63	2.590	62
35.75	2.512	43
40.20	2.243	88
40.44	2.231	100
41.16	2.193	60
41.42	2.180	37
45.41	1.997	38
58.30	1.583	20
58.89	1.568	25
73.08	1.295	31
74.48	1.274	28

Atomic structure:
Cell lengths 6.7900, 6.7900, 6.7900 Å; angles 82.71, 82.71, 82.71 degrees
Element x y z (fractional)
Tb1 0.0000 0.0000 0.0000
Tb2 0.3302 0.3302 0.3302
Zn1 0.0174 0.0174 0.4994
Zn2 0.0174 0.4994 0.0174
Zn3 0.1639 0.6610 0.6610
Zn4 0.3114 0.3114 0.8200
Zn5 0.3114 0.8200 0.3114
Zn6 0.3690 0.6610 0.9543
Zn7 0.3690 0.9543 0.6610
Zn8 0.4994 0.0174 0.0174
Zn9 0.6610 0.1639 0.6610
Zn10 0.6610 0.3690 0.9543
Zn11 0.6610 0.6610 0.1639
Zn12 0.6610 0.9543 0.3690
Zn13 0.7641 0.7641 0.7641
Zn14 0.8200 0.3114 0.3114
Zn15 0.9543 0.3690 0.6610
Zn16 0.9543 0.6610 0.3690
Pt1 0.5612 0.5612 0.5612

---

[13]
For Sr6GaSi2, a cell relaxed with GGA-PBE gives the simulated X-ray powder pattern in this record (Cu Kα X-rays).
Neutral-atom scattering factors, no anomalous dispersion.

Principal peaks in the range 10 to 90 degrees two-theta, sorted by position:
2θ (°)	d (Å)	I/Imax
23.10	3.851	25
24.99	3.564	32
25.76	3.459	26
26.72	3.337	47
28.38	3.145	100
30.30	2.950	34
30.45	2.935	75
30.95	2.890	52
34.11	2.629	23
49.20	1.852	21
51.47	1.775	23
52.84	1.733	29

Atomic structure:
Cell lengths 9.4516, 9.4516, 9.4516 Å; angles 112.40, 109.59, 106.48 degrees
Element x y z (fractional)
Sr1 0.0602 0.2478 0.8124
Sr2 0.1743 0.2722 0.4465
Sr3 0.1743 0.7278 0.9021
Sr4 0.3361 0.0140 0.6779
Sr5 0.3361 0.6581 0.3221
Sr6 0.4353 0.2478 0.1876
Sr7 0.5647 0.7522 0.8124
Sr8 0.6639 0.3419 0.6779
Sr9 0.6639 0.9860 0.3221
Sr10 0.8257 0.2722 0.0979
Sr11 0.8257 0.7278 0.5535
Sr12 0.9398 0.7522 0.1876
Ga1 0.0000 0.0000 0.0000
Ga2 0.5000 0.5000 0.0000
Si1 0.1069 0.6069 0.5000
Si2 0.3234 0.0000 0.3234
Si3 0.6766 0.0000 0.6766
Si4 0.8931 0.3931 0.5000